Record 1
Calculated powder diffraction line list
Compound: Th2AlSe
Radiation: Cu Kα (weighted mean of Kα1 and Kα2)
Structure: a structure optimized by DFT (GGA-PBE)

Top 6 peaks for 10 to 90 degrees two-theta, by intensity:
| 2θ/deg | Rel. int. | (hkl) |
| --- | --- | --- |
| 33.69 | 100 | 1 0 2 |
| 35.96 | 42 | 1 1 0 |
| 25.21 | 39 | 1 0 0 |
| 63.20 | 34 | 2 1 2 |
| 21.98 | 26 | 0 0 2 |
| 58.76 | 20 | 1 1 4 |

Structure:
```
data_Th2AlSe
_space_group_name_H-M_alt 'P 4/m m m'
_space_group_IT_number 123
_space_group_name_Hall '-P 4 2'
_cell_length_a 3.5322
_cell_length_b 3.5322
_cell_length_c 8.0863
_cell_angle_alpha 90.00
_cell_angle_beta 90.00
_cell_angle_gamma 90.00
loop_
_atom_site_label
_atom_site_fract_x
_atom_site_fract_y
_atom_site_fract_z
Th1 0.0000 0.0000 0.2431
Al1 0.5000 0.5000 0.5000
Se1 0.5000 0.5000 0.0000
```

=====

Record 2
Calculated powder diffraction line list
Compound: Ti6O11
Radiation: Cu Kα (weighted mean of Kα1 and Kα2)
Structure: a structure optimized by DFT (GGA-PBE)

Top 6 peaks for 10 to 90 degrees two-theta, by intensity:
| 2θ/deg | Rel. int. | (hkl) |
| --- | --- | --- |
| 29.77 | 100 | 1 0 -3 |
| 26.24 | 83 | 1 -2 0 |
| 28.41 | 79 | 1 -2 1 |
| 53.22 | 63 | 3 -2 1 |
| 22.62 | 50 | 1 0 -2 |
| 35.56 | 42 | 1 0 3 |

Structure:
```
data_Ti6O11
_space_group_name_H-M_alt 'P -1'
_space_group_IT_number 2
_space_group_name_Hall '-P 1'
_cell_length_a 5.6049
_cell_length_b 7.1859
_cell_length_c 9.8063
_cell_angle_alpha 90.03
_cell_angle_beta 100.47
_cell_angle_gamma 108.64
loop_
_atom_site_label
_atom_site_fract_x
_atom_site_fract_y
_atom_site_fract_z
Ti1 0.1790 0.1937 0.4343
Ti2 0.1818 0.6961 0.4386
Ti3 0.2257 0.1379 0.0831
Ti4 0.2294 0.6384 0.0853
Ti5 0.3110 0.5730 0.7435
Ti6 0.3133 0.0760 0.7429
O1 0.0145 0.9058 0.3914
O2 0.0537 0.5744 0.2574
O3 0.0968 0.3583 0.0264
O4 0.1225 0.0170 0.8903
O5 0.1843 0.7990 0.6457
O6 0.2103 0.4555 0.5327
O7 0.3399 0.2619 0.2841
O8 0.3638 0.9216 0.1522
O9 0.4066 0.6979 0.9248
O10 0.4347 0.3585 0.7953
O11 0.4732 0.1728 0.5649
```

=====

Record 3
Calculated powder diffraction line list
Compound: BC2
Radiation: Cu Kα (weighted mean of Kα1 and Kα2)
Structure: a structure optimized by DFT (GGA-PBE)

Top 6 peaks for 10 to 90 degrees two-theta, by intensity:
| 2θ/deg | Rel. int. | (hkl) |
| --- | --- | --- |
| 42.18 | 100 | 1 3 1 |
| 70.86 | 13 | 2 6 0 |
| 71.93 | 13 | 2 0 2 |
| 73.14 | 13 | 0 6 2 |
| 84.90 | 8 | 3 3 1 |
| 89.23 | 8 | 1 3 3 |

Structure:
```
data_BC2
_space_group_name_H-M_alt 'C 2 2 21'
_space_group_IT_number 20
_space_group_name_Hall 'C 2c 2'
_cell_length_a 3.8188
_cell_length_b 11.1194
_cell_length_c 3.6151
_cell_angle_alpha 90.00
_cell_angle_beta 90.00
_cell_angle_gamma 90.00
loop_
_atom_site_label
_atom_site_fract_x
_atom_site_fract_y
_atom_site_fract_z
B1 0.0000 0.0827 0.2500
B2 0.0000 0.2491 0.7500
C1 0.0000 0.4185 0.2500
C2 0.2278 0.5000 0.5000
C3 0.2362 0.3406 0.0035
```

=====

Record 4
Calculated powder diffraction line list
Compound: Pr3Nd4Ho5
Radiation: Cu Kα (weighted mean of Kα1 and Kα2)
Structure: a structure optimized by DFT (GGA-PBE)

Top 6 peaks for 10 to 90 degrees two-theta, by intensity:
| 2θ/deg | Rel. int. | (hkl) |
| --- | --- | --- |
| 30.21 | 100 | 2 0 1 |
| 35.03 | 51 | 1 2 2 |
| 50.37 | 36 | 3 2 0 |
| 59.84 | 25 | 4 0 -1 |
| 59.92 | 18 | 2 4 1 |
| 62.81 | 9 | -2 4 2 |

Structure:
```
data_Pr3Nd4Ho5
_space_group_name_H-M_alt 'P -1'
_space_group_IT_number 2
_space_group_name_Hall '-P 1'
_cell_length_a 6.2768
_cell_length_b 7.2397
_cell_length_c 8.8797
_cell_angle_alpha 90.01
_cell_angle_beta 90.10
_cell_angle_gamma 90.09
loop_
_atom_site_label
_atom_site_fract_x
_atom_site_fract_y
_atom_site_fract_z
Pr1 0.0000 0.0000 0.0000
Pr2 0.1686 0.7509 0.6680
Nd1 0.1692 0.2492 0.6681
Nd2 0.3314 0.5003 0.3296
Ho1 0.0000 0.5000 0.0000
Ho2 0.3351 0.9997 0.3303
Ho3 0.4994 0.2492 0.9998
```